(1)
Computed PXRD pattern of Tb15Pm2Th2 for a wavelength of 1.5418 Å, from a cell relaxed with PBE.

Atomic structure:
```
19
Lattice="5.590 3.228 5.933 -5.590 3.228 5.933 0.000 -6.455 5.933" Properties=species:S:1:pos:R:3 pbc="T T T"
Tb -5.590 0.000 8.899
Tb -1.667 -3.568 5.933
Tb -2.795 1.614 2.966
Tb -3.923 0.340 5.933
Tb -2.695 -1.556 8.356
Tb 1.667 -3.568 5.933
Tb -2.256 3.228 5.933
Tb 0.000 -3.112 9.442
Tb -2.695 1.556 9.442
Tb 2.795 1.614 2.966
Tb 2.695 -1.556 8.356
Tb 0.000 3.112 8.356
Tb 3.923 0.340 5.933
Tb 2.256 3.228 5.933
Tb 2.695 1.556 9.442
Pm 0.000 0.000 5.704
Pm 0.000 0.000 12.094
Th 0.000 0.000 1.546
Th 0.000 0.000 16.252
```

Principal peaks in the range 2θ = 10–90°, in order of falling intensity:
2θ 31.56, intensity 100; 2θ 31.19, intensity 65; 2θ 32.02, intensity 62; 2θ 35.50, intensity 62; 2θ 27.64, intensity 35; 2θ 34.22, intensity 29; 2θ 57.07, intensity 28; 2θ 27.22, intensity 28; 2θ 10.40, intensity 24; 2θ 30.13, intensity 21; 2θ 56.55, intensity 21; 2θ 51.40, intensity 18

***

(2)
Computed PXRD pattern of ErAl2Fe9 for a wavelength of 1.5418 Å, from a cell relaxed with PBE.

Atomic structure:
```
24
Lattice="8.039 0.000 0.000 0.000 8.039 0.000 0.000 0.000 4.619" Properties=species:S:1:pos:R:3 pbc="T T T"
Er 0.000 0.000 0.000
Er 4.019 4.019 0.000
Al 0.969 3.050 0.000
Al 3.050 7.070 0.000
Al 4.989 0.969 0.000
Al 7.070 4.989 0.000
Fe 0.000 4.019 2.310
Fe 0.536 1.692 2.310
Fe 1.419 5.438 1.069
Fe 1.419 5.438 3.550
Fe 1.692 7.503 2.310
Fe 2.328 3.483 2.310
Fe 2.601 1.419 1.069
Fe 2.601 1.419 3.550
Fe 3.483 5.711 2.310
Fe 4.019 0.000 2.310
Fe 4.556 2.328 2.310
Fe 5.438 6.620 1.069
Fe 5.438 6.620 3.550
Fe 5.711 4.556 2.310
Fe 6.347 0.536 2.310
Fe 6.620 2.601 1.069
Fe 6.620 2.601 3.550
Fe 7.503 6.347 2.310
```

Principal peaks in the range 2θ = 10–90°, in order of falling intensity:
2θ 40.50, intensity 100; 2θ 46.75, intensity 41; 2θ 24.82, intensity 40; 2θ 46.58, intensity 39; 2θ 45.28, intensity 39; 2θ 37.14, intensity 39; 2θ 50.80, intensity 31; 2θ 45.15, intensity 22; 2θ 35.31, intensity 20; 2θ 31.49, intensity 17; 2θ 87.63, intensity 17; 2θ 88.59, intensity 16

***

(3)
Computed PXRD pattern of Pm2Zn7 for a wavelength of 1.5418 Å, from a cell relaxed with PBE.

Atomic structure:
```
18
Lattice="2.741 1.583 12.881 -2.741 1.583 12.881 0.000 -3.166 12.881" Properties=species:S:1:pos:R:3 pbc="T T T"
Pm 0.000 0.000 1.990
Pm 0.000 0.000 5.757
Pm 0.000 0.000 32.886
Pm 0.000 0.000 36.652
Zn -1.371 -0.791 12.881
Zn -1.383 -0.799 17.104
Zn 0.000 0.000 10.780
Zn 0.000 0.000 15.016
Zn 0.000 -1.597 21.538
Zn -1.383 0.799 21.538
Zn -1.371 0.791 25.761
Zn 0.000 1.583 12.881
Zn 0.000 0.000 19.321
Zn 1.383 -0.799 17.104
Zn 0.000 1.597 17.104
Zn 0.000 0.000 23.626
Zn 0.000 0.000 27.863
Zn 1.383 0.799 21.538
```

Principal peaks in the range 2θ = 10–90°, in order of falling intensity:
2θ 38.98, intensity 100; 2θ 32.66, intensity 40; 2θ 37.97, intensity 31; 2θ 29.81, intensity 30; 2θ 31.68, intensity 24; 2θ 62.55, intensity 23; 2θ 68.44, intensity 23; 2θ 42.09, intensity 16; 2θ 83.71, intensity 12; 2θ 42.42, intensity 12; 2θ 56.54, intensity 10; 2θ 61.92, intensity 10

***

(4)
Computed PXRD pattern of ErZnAg2 for a wavelength of 1.5418 Å, from a cell relaxed with PBE.

Atomic structure:
```
16
Lattice="7.637 0.000 0.000 0.000 7.562 0.000 0.000 0.000 5.513" Properties=species:S:1:pos:R:3 pbc="T T T"
Er 0.305 1.890 0.738
Er 3.514 5.671 3.494
Er 4.124 1.890 2.019
Er 7.332 5.671 4.775
Zn 0.870 5.671 2.050
Zn 2.949 1.890 4.807
Zn 4.688 5.671 0.706
Zn 6.768 1.890 3.463
Ag 1.403 0.410 3.285
Ag 1.403 3.371 3.285
Ag 2.416 4.191 0.529
Ag 2.416 7.151 0.529
Ag 5.222 0.410 4.984
Ag 5.222 3.371 4.984
Ag 6.234 4.191 2.228
Ag 6.234 7.151 2.228
```

Principal peaks in the range 2θ = 10–90°, in order of falling intensity:
2θ 36.64, intensity 100; 2θ 33.35, intensity 82; 2θ 38.97, intensity 58; 2θ 37.23, intensity 55; 2θ 41.11, intensity 52; 2θ 30.84, intensity 45; 2θ 30.98, intensity 44; 2θ 34.59, intensity 35; 2θ 50.55, intensity 34; 2θ 42.27, intensity 27; 2θ 72.35, intensity 25; 2θ 40.83, intensity 24

***

(5)
Computed PXRD pattern of TlZnCuRe2 for a wavelength of 1.5418 Å, from a cell relaxed with PBE.

Atomic structure:
```
5
Lattice="4.650 0.000 0.000 0.000 4.650 0.000 0.000 0.000 4.383" Properties=species:S:1:pos:R:3 pbc="T T T"
Tl 0.000 0.000 0.000
Zn 2.325 2.325 0.000
Cu 2.325 2.325 2.191
Re 0.000 2.325 2.191
Re 2.325 0.000 2.191
```

Principal peaks in the range 2θ = 10–90°, in order of falling intensity:
2θ 34.09, intensity 100; 2θ 38.73, intensity 55; 2θ 57.82, intensity 34; 2θ 67.15, intensity 31; 2θ 41.20, intensity 23; 2θ 27.98, intensity 20; 2θ 55.93, intensity 19; 2θ 71.78, intensity 18; 2θ 70.55, intensity 13; 2θ 48.45, intensity 9; 2θ 20.26, intensity 8; 2θ 83.09, intensity 6

***

(6)
Computed PXRD pattern of KInCl2 for a wavelength of 1.5418 Å, from a cell relaxed with PBE.

Atomic structure:
```
8
Lattice="12.542 0.000 0.000 0.000 4.280 0.000 -0.004 0.000 4.721" Properties=species:S:1:pos:R:3 pbc="T T T"
K 0.000 0.000 0.000
K 6.271 2.140 0.000
In 3.046 0.000 2.361
In 9.317 2.140 2.361
Cl 3.083 2.140 4.714
Cl 5.846 0.000 2.360
Cl 9.355 0.000 4.714
Cl 12.117 2.140 2.360
```

Principal peaks in the range 2θ = 10–90°, in order of falling intensity:
2θ 29.05, intensity 100; 2θ 35.53, intensity 46; 2θ 28.47, intensity 42; 2θ 46.14, intensity 28; 2θ 14.12, intensity 26; 2θ 21.94, intensity 24; 2θ 23.59, intensity 20; 2θ 38.12, intensity 20; 2θ 48.26, intensity 18; 2θ 42.23, intensity 15; 2θ 51.72, intensity 14; 2θ 66.03, intensity 13

***

(7)
Computed PXRD pattern of YCdBi2 for a wavelength of 1.5418 Å, from a cell relaxed with PBE.

Atomic structure:
```
12
Lattice="4.652 0.000 0.000 -2.326 4.029 0.000 0.000 0.000 20.539" Properties=species:S:1:pos:R:3 pbc="T T T"
Y 0.000 0.000 0.000
Y 0.000 2.686 13.693
Y 2.326 1.343 6.846
Cd 0.000 0.000 17.079
Cd 0.000 2.686 10.232
Cd 2.326 1.343 3.386
Bi 0.000 0.000 8.531
Bi 0.000 0.000 12.008
Bi 0.000 2.686 1.685
Bi 0.000 2.686 5.161
Bi 2.326 1.343 15.378
Bi 2.326 1.343 18.854
```

Principal peaks in the range 2θ = 10–90°, in order of falling intensity:
2θ 31.09, intensity 100; 2θ 38.71, intensity 76; 2θ 37.94, intensity 52; 2θ 23.72, intensity 45; 2θ 22.49, intensity 41; 2θ 68.00, intensity 31; 2θ 50.46, intensity 26; 2θ 65.36, intensity 24; 2θ 28.15, intensity 20; 2θ 69.56, intensity 18; 2θ 55.32, intensity 18; 2θ 70.07, intensity 14